Entry 1:
This entry pairs a crystal structure of Li7Mn2Co3O12 with its computed powder X-ray diffraction pattern. Radiation: CuKα. Structure: the GGA+U geometry in Alexandria.
Intensities are scaled so that the largest is 100.

Atomic structure:
Cell lengths 4.9729, 4.9922, 9.7077 Å; angles 94.44, 94.14, 118.45 degrees
Space group P1 (No. 1)
One atom of each set of equivalent atoms:
Li: 0.0000 0.0000 0.0000 [1 per cell]
Li: 0.0502 0.3848 0.2414 [1 per cell]
Li: 0.1302 0.7948 0.4872 [1 per cell]
Li: 0.3043 0.6376 0.9975 [1 per cell]
Li: 0.4301 0.4333 0.4837 [1 per cell]
Li: 0.6460 0.3070 0.9947 [1 per cell]
Li: 0.7984 0.1292 0.4855 [1 per cell]
Mn: 0.5485 0.8872 0.7415 [1 per cell]
Mn: 0.8868 0.5482 0.7412 [1 per cell]
Co: 0.2176 0.2177 0.7415 [1 per cell]
Co: 0.3921 0.0544 0.2415 [1 per cell]
Co: 0.7110 0.7122 0.2413 [1 per cell]
O: 0.0235 0.7158 0.1329 [1 per cell]
O: 0.0786 0.0522 0.3487 [1 per cell]
O: 0.1548 0.4839 0.6201 [1 per cell]
O: 0.2792 0.9515 0.8604 [1 per cell]
O: 0.3892 0.3631 0.1328 [1 per cell]
O: 0.4499 0.7746 0.3519 [1 per cell]
O: 0.4852 0.1550 0.6225 [1 per cell]
O: 0.5773 0.5779 0.8485 [1 per cell]
O: 0.6539 0.9916 0.1312 [1 per cell]
O: 0.7126 0.4041 0.3509 [1 per cell]
O: 0.8589 0.8579 0.6343 [1 per cell]
O: 0.9506 0.2812 0.8628 [1 per cell]

The 8 most intense peaks (2θ from 10° to 80°), in order of rising 2θ:
- (0 0 2), 18.48°, intensity 100
- (1 0 -1), 21.36°, intensity 9
- (1 1 0), 35.60°, intensity 14
- (1 -2 1), 36.63°, intensity 12
- (-2 1 1), 36.80°, intensity 12
- (1 1 2), 42.88°, intensity 29
- (1 -2 3), 44.42°, intensity 27
- (-2 1 3), 44.64°, intensity 26

=====

Entry 2:
This entry pairs a crystal structure of Li7Mn2Co3O12 with its computed powder X-ray diffraction pattern. Radiation: CuKα. Structure: the GGA+U geometry in Alexandria.
Intensities are scaled so that the largest is 100.

Atomic structure:
Cell lengths 2.8784, 5.1631, 14.3436 Å; angles 88.96, 89.96, 89.96 degrees
Space group P1 (No. 1)
One atom of each set of equivalent atoms:
Li: 0.0000 0.0000 0.0000 [1 per cell]
Li: 0.9999 0.3319 0.3417 [1 per cell]
Li: 0.4967 0.8547 0.8291 [1 per cell]
Li: 0.4986 0.1771 0.6737 [1 per cell]
Li: 0.4992 0.5339 0.5152 [1 per cell]
Li: 0.5000 0.1888 0.1672 [1 per cell]
Li: 0.9990 0.6799 0.6637 [1 per cell]
Mn: 0.5006 0.8355 0.3354 [1 per cell]
Mn: 0.9989 0.3355 0.8360 [1 per cell]
Co: 0.0013 0.6895 0.1694 [1 per cell]
Co: 0.5004 0.5195 0.0068 [1 per cell]
Co: 0.9995 0.0488 0.5180 [1 per cell]
O: 0.0005 0.6802 0.4046 [1 per cell]
O: 0.0007 0.9812 0.2555 [1 per cell]
O: 0.0030 0.6458 0.9282 [1 per cell]
O: 0.4981 0.1971 0.9188 [1 per cell]
O: 0.4987 0.5001 0.7680 [1 per cell]
O: 0.4994 0.8584 0.5825 [1 per cell]
O: 0.4999 0.1290 0.4120 [1 per cell]
O: 0.5013 0.5442 0.2462 [1 per cell]
O: 0.5010 0.8406 0.0957 [1 per cell]
O: 0.9951 0.3951 0.0886 [1 per cell]
O: 0.9979 0.0479 0.7652 [1 per cell]
O: 0.9992 0.3440 0.5793 [1 per cell]

The 8 most intense peaks (2θ from 10° to 80°), in order of rising 2θ:
- (0 1 -1), 18.37°, intensity 100
- (0 1 5), 35.53°, intensity 13
- (1 0 3), 36.42°, intensity 14
- (1 0 -3), 36.45°, intensity 12
- (0 2 4), 42.80°, intensity 27
- (1 1 -4), 44.18°, intensity 54
- (1 -2 5), 58.14°, intensity 9
- (1 3 0), 62.93°, intensity 14

=====

Entry 3:
This entry pairs a crystal structure of Li7Mn2Co3O12 with its computed powder X-ray diffraction pattern. Radiation: CuKα. Structure: the GGA+U geometry in Alexandria.
Intensities are scaled so that the largest is 100.

Atomic structure:
Cell lengths 5.1821, 2.8809, 14.3436 Å; angles 90.00, 91.86, 90.00 degrees
Space group Pm (No. 6)
One atom of each set of equivalent atoms:
Li: 0.0000 0.0000 0.0000 [1 per cell]
Li: 0.0130 0.0000 0.4825 [1 per cell]
Li: 0.1784 0.5000 0.3161 [1 per cell]
Li: 0.3259 0.0000 0.1500 [1 per cell]
Li: 0.5152 0.5000 0.9842 [1 per cell]
Li: 0.6445 0.0000 0.8377 [1 per cell]
Li: 0.8452 0.5000 0.6662 [1 per cell]
Mn: 0.3290 0.0000 0.6599 [1 per cell]
Mn: 0.5179 0.5000 0.4858 [1 per cell]
Co: 0.1316 0.5000 0.8441 [1 per cell]
Co: 0.6876 0.0000 0.3217 [1 per cell]
Co: 0.8297 0.5000 0.1570 [1 per cell]
O: 0.0462 0.0000 0.7387 [1 per cell]
O: 0.1183 0.5000 0.0927 [1 per cell]
O: 0.1772 0.5000 0.5816 [1 per cell]
O: 0.3247 0.0000 0.9085 [1 per cell]
O: 0.3825 0.0000 0.4046 [1 per cell]
O: 0.4925 0.5000 0.7284 [1 per cell]
O: 0.5450 0.5000 0.2470 [1 per cell]
O: 0.6343 0.0000 0.5708 [1 per cell]
O: 0.6766 0.0000 0.0893 [1 per cell]
O: 0.8372 0.5000 0.9039 [1 per cell]
O: 0.8465 0.5000 0.3976 [1 per cell]
O: 0.9637 0.0000 0.2381 [1 per cell]

The 8 most intense peaks (2θ from 10° to 80°), in order of rising 2θ:
- (1 0 1), 18.40°, intensity 100
- (1 0 -5), 35.28°, intensity 11
- (0 1 3), 36.42°, intensity 25
- (2 0 -4), 42.39°, intensity 26
- (1 1 4), 44.29°, intensity 54
- (2 1 5), 58.36°, intensity 9
- (3 1 0), 62.74°, intensity 14
- (1 1 -8), 63.22°, intensity 13

=====

Entry 4:
This entry pairs a crystal structure of Li4MnCo2O7 with its computed powder X-ray diffraction pattern. Radiation: CuKα. Structure: the GGA+U geometry in Alexandria.
Intensities are scaled so that the largest is 100.

Atomic structure:
Cell lengths 2.8742, 5.1620, 16.8570 Å; angles 86.39, 85.34, 89.90 degrees
Space group P1 (No. 1)
One atom of each set of equivalent atoms:
Li: 0.0000 0.0000 0.0000 [1 per cell]
Li: 0.0631 0.3482 0.8663 [1 per cell]
Li: 0.2091 0.0854 0.5824 [1 per cell]
Li: 0.3630 0.8024 0.2859 [1 per cell]
Li: 0.4964 0.4953 0.0076 [1 per cell]
Li: 0.6337 0.2329 0.7201 [1 per cell]
Li: 0.7946 0.9416 0.4390 [1 per cell]
Li: 0.9350 0.6215 0.1382 [1 per cell]
Mn: 0.5653 0.8585 0.8625 [1 per cell]
Mn: 0.8608 0.2899 0.2908 [1 per cell]
Co: 0.1339 0.7250 0.7193 [1 per cell]
Co: 0.2867 0.4418 0.4372 [1 per cell]
Co: 0.4358 0.1067 0.1340 [1 per cell]
Co: 0.7162 0.5969 0.5787 [1 per cell]
O: 0.0376 0.6886 0.9218 [1 per cell]
O: 0.0989 0.0038 0.7913 [1 per cell]
O: 0.1666 0.4338 0.6493 [1 per cell]
O: 0.2664 0.7602 0.5073 [1 per cell]
O: 0.3301 0.1279 0.3560 [1 per cell]
O: 0.3882 0.4598 0.2321 [1 per cell]
O: 0.4612 0.8196 0.0816 [1 per cell]
O: 0.5368 0.1432 0.9218 [1 per cell]
O: 0.6032 0.5734 0.7840 [1 per cell]
O: 0.6643 0.8872 0.6548 [1 per cell]
O: 0.7585 0.2893 0.5015 [1 per cell]
O: 0.8225 0.5747 0.3679 [1 per cell]
O: 0.8936 0.0117 0.2223 [1 per cell]
O: 0.9615 0.3045 0.0795 [1 per cell]

The 8 most intense peaks (2θ from 10° to 80°), in order of rising 2θ:
- (0 1 -1), 18.33°, intensity 100
- (0 1 6), 35.57°, intensity 13
- (1 0 -3), 36.39°, intensity 15
- (1 0 4), 36.52°, intensity 12
- (0 2 5), 42.90°, intensity 26
- (1 1 -4), 44.01°, intensity 27
- (1 -1 5), 44.22°, intensity 26
- (0 2 -9), 63.41°, intensity 14

=====

Entry 5:
This entry pairs a crystal structure of Li7Mn4CoO12 with its computed powder X-ray diffraction pattern. Radiation: CuKα. Structure: the GGA+U geometry in Alexandria.
Intensities are scaled so that the largest is 100.

Atomic structure:
Cell lengths 5.8608, 5.8947, 14.6930 Å; angles 79.53, 83.87, 60.57 degrees
Space group P-1 (No. 2)
One atom of each set of equivalent atoms:
Li: 0.0000 0.0000 0.0000 [1 per cell]
Li: 0.0003 0.2493 0.5006 [2 per cell]
Li: 0.0000 0.5000 0.0000 [1 per cell]
Li: 0.1843 0.2365 0.8362 [2 per cell]
Li: 0.1843 0.7299 0.8374 [2 per cell]
Li: 0.3213 0.5219 0.6564 [2 per cell]
Li: 0.3271 0.0085 0.6612 [2 per cell]
Li: 0.4920 0.2478 0.5030 [2 per cell]
Mn: 0.1564 0.9978 0.3400 [2 per cell]
Mn: 0.1590 0.4948 0.3398 [2 per cell]
Mn: 0.3271 0.2515 0.1668 [2 per cell]
Mn: 0.3283 0.7519 0.1669 [2 per cell]
Co: 0.5000 0.0000 0.0000 [1 per cell]
Co: 0.5000 0.5000 0.0000 [1 per cell]
O: 0.0259 0.3498 0.2580 [2 per cell]
O: 0.0313 0.8456 0.2590 [2 per cell]
O: 0.1428 0.8879 0.5901 [2 per cell]
O: 0.1458 0.3843 0.5911 [2 per cell]
O: 0.1595 0.1477 0.0889 [2 per cell]
O: 0.1718 0.6074 0.0967 [2 per cell]
O: 0.3130 0.1375 0.4083 [2 per cell]
O: 0.3184 0.6389 0.4058 [2 per cell]
O: 0.3620 0.8613 0.9093 [2 per cell]
O: 0.3642 0.3596 0.9119 [2 per cell]
O: 0.4625 0.9036 0.2438 [2 per cell]
O: 0.4712 0.3639 0.2515 [2 per cell]

The 8 most intense peaks (2θ from 10° to 80°), in order of rising 2θ:
- (1 0 1), 18.32°, intensity 100
- (1 2 -2), 35.41°, intensity 15
- (1 2 4), 36.03°, intensity 26
- (0 2 -3), 42.68°, intensity 30
- (2 2 5), 43.72°, intensity 29
- (2 0 -4), 43.86°, intensity 28
- (2 4 2), 63.10°, intensity 8
- (0 2 9), 63.82°, intensity 8

=====

Entry 6:
This entry pairs a crystal structure of Li7Mn2Co3O12 with its computed powder X-ray diffraction pattern. Radiation: CuKα. Structure: the GGA+U geometry in Alexandria.
Intensities are scaled so that the largest is 100.

Atomic structure:
Cell lengths 5.1913, 2.8912, 14.4866 Å; angles 90.00, 91.52, 90.00 degrees
Space group P2/m (No. 10)
One atom of each set of equivalent atoms:
Li: 0.0000 0.0000 0.0000 [1 per cell]
Li: 0.0000 0.0000 0.5000 [1 per cell]
Li: 0.1667 0.5000 0.3286 [2 per cell]
Li: 0.3487 0.0000 0.1564 [2 per cell]
Li: 0.5000 0.5000 0.0000 [1 per cell]
Mn: 0.3305 0.0000 0.6674 [2 per cell]
Co: 0.1367 0.5000 0.8458 [2 per cell]
Co: 0.5000 0.5000 0.5000 [1 per cell]
O: 0.0418 0.0000 0.7477 [2 per cell]
O: 0.1545 0.5000 0.0923 [2 per cell]
O: 0.1734 0.5000 0.5919 [2 per cell]
O: 0.3219 0.0000 0.9094 [2 per cell]
O: 0.3698 0.0000 0.4141 [2 per cell]
O: 0.4821 0.5000 0.7384 [2 per cell]

The 8 most intense peaks (2θ from 10° to 80°), in order of rising 2θ:
- (1 0 1), 18.32°, intensity 100
- (1 0 -5), 35.08°, intensity 12
- (0 1 3), 36.21°, intensity 26
- (2 0 -4), 42.31°, intensity 27
- (1 1 4), 43.98°, intensity 54
- (2 1 5), 57.92°, intensity 9
- (3 1 0), 62.58°, intensity 14
- (1 1 -8), 62.77°, intensity 13

=====

Entry 7:
This entry pairs a crystal structure of Li7Mn2Co3O12 with its computed powder X-ray diffraction pattern. Radiation: CuKα. Structure: the GGA+U geometry in Alexandria.
Intensities are scaled so that the largest is 100.

Atomic structure:
Cell lengths 2.8636, 4.9880, 14.4268 Å; angles 89.56, 89.79, 89.63 degrees
Space group P1 (No. 1)
One atom of each set of equivalent atoms:
Li: 0.0000 0.0000 0.0000 [1 per cell]
Li: 0.0007 0.3349 0.1610 [1 per cell]
Li: 0.0026 0.6545 0.8365 [1 per cell]
Li: 0.0064 0.9971 0.5131 [1 per cell]
Li: 0.4940 0.8582 0.1488 [1 per cell]
Li: 0.5021 0.1402 0.8426 [1 per cell]
Li: 0.5087 0.4891 0.5149 [1 per cell]
Mn: 0.9996 0.6664 0.3384 [1 per cell]
Mn: 0.5003 0.4981 0.0009 [1 per cell]
Co: 0.0041 0.3233 0.6704 [1 per cell]
Co: 0.5005 0.1658 0.3392 [1 per cell]
Co: 0.5042 0.8235 0.6704 [1 per cell]
O: 0.0020 0.9899 0.7401 [1 per cell]
O: 0.0030 0.3436 0.9272 [1 per cell]
O: 0.0052 0.0078 0.2672 [1 per cell]
O: 0.0067 0.6583 0.5978 [1 per cell]
O: 0.4778 0.4933 0.2662 [1 per cell]
O: 0.5001 0.8027 0.9216 [1 per cell]
O: 0.5023 0.1932 0.0817 [1 per cell]
O: 0.5020 0.4881 0.7393 [1 per cell]
O: 0.5057 0.1577 0.5981 [1 per cell]
O: 0.5224 0.8376 0.4137 [1 per cell]
O: 0.9961 0.3249 0.4122 [1 per cell]
O: 0.9974 0.6549 0.0768 [1 per cell]

The 8 most intense peaks (2θ from 10° to 80°), in order of rising 2θ:
- (0 0 2), 12.27°, intensity 8
- (0 0 3), 18.45°, intensity 100
- (1 1 1), 36.60°, intensity 25
- (-1 1 1), 36.82°, intensity 13
- (1 1 4), 44.04°, intensity 27
- (-1 1 4), 44.34°, intensity 52
- (1 -1 5), 48.45°, intensity 8
- (0 2 -7), 58.26°, intensity 10

=====

Entry 8:
This entry pairs a crystal structure of Li4MnCo2O7 with its computed powder X-ray diffraction pattern. Radiation: CuKα. Structure: the GGA+U geometry in Alexandria.
Intensities are scaled so that the largest is 100.

Atomic structure:
Cell lengths 2.9798, 5.0629, 17.1235 Å; angles 85.14, 87.96, 76.58 degrees
Space group P1 (No. 1)
One atom of each set of equivalent atoms:
Li: 0.0000 0.0000 0.0000 [1 per cell]
Li: 0.0297 0.9948 0.5047 [1 per cell]
Li: 0.1777 0.7206 0.2934 [1 per cell]
Li: 0.3062 0.4072 0.5743 [1 per cell]
Li: 0.4500 0.1319 0.8592 [1 per cell]
Li: 0.5834 0.8624 0.1452 [1 per cell]
Li: 0.7435 0.5820 0.4328 [1 per cell]
Li: 0.8258 0.2895 0.7141 [1 per cell]
Mn: 0.2876 0.4349 0.0723 [1 per cell]
Mn: 0.8758 0.2924 0.2198 [1 per cell]
Co: 0.1416 0.7097 0.7859 [1 per cell]
Co: 0.4724 0.1399 0.3687 [1 per cell]
Co: 0.5919 0.8446 0.6402 [1 per cell]
Co: 0.6928 0.5802 0.9274 [1 per cell]
O: 0.0404 0.8391 0.8896 [1 per cell]
O: 0.1216 0.8834 0.3960 [1 per cell]
O: 0.2056 0.5687 0.1778 [1 per cell]
O: 0.2399 0.5843 0.6835 [1 per cell]
O: 0.3640 0.3102 0.9662 [1 per cell]
O: 0.3893 0.2811 0.4586 [1 per cell]
O: 0.5396 0.0254 0.2634 [1 per cell]
O: 0.5538 0.9458 0.7494 [1 per cell]
O: 0.6192 0.7074 0.0315 [1 per cell]
O: 0.6644 0.7077 0.5497 [1 per cell]
O: 0.7317 0.4683 0.8223 [1 per cell]
O: 0.8035 0.4136 0.3238 [1 per cell]
O: 0.9386 0.1053 0.6151 [1 per cell]
O: 0.9632 0.1578 0.1143 [1 per cell]

The 8 most intense peaks (2θ from 10° to 80°), in order of rising 2θ:
- (0 1 1), 18.41°, intensity 100
- (1 0 3), 34.50°, intensity 18
- (1 1 -3), 36.70°, intensity 12
- (0 0 7), 36.88°, intensity 10
- (1 -1 2), 41.28°, intensity 33
- (1 2 -2), 44.66°, intensity 26
- (0 1 8), 45.00°, intensity 24
- (-1 2 6), 62.70°, intensity 14

=====

Entry 9:
This entry pairs a crystal structure of Li3MnCoO5 with its computed powder X-ray diffraction pattern. Radiation: CuKα. Structure: the GGA+U geometry in Alexandria.
Intensities are scaled so that the largest is 100.

Atomic structure:
Cell lengths 15.5959, 2.9284, 8.2294 Å; angles 90.00, 104.63, 90.00 degrees
Space group C2/m (No. 12)
One atom of each set of equivalent atoms:
Li: 0.0000 0.0000 0.0000 [2 per cell]
Li: 0.0000 0.0000 0.5000 [2 per cell]
Li: 0.0841 0.5000 0.2762 [4 per cell]
Li: 0.1979 0.0000 0.0967 [4 per cell]
Mn: 0.1984 0.0000 0.6013 [4 per cell]
Co: 0.0948 0.5000 0.8222 [4 per cell]
O: 0.0075 0.0000 0.7444 [4 per cell]
O: 0.1038 0.5000 0.0427 [4 per cell]
O: 0.1149 0.5000 0.5505 [4 per cell]
O: 0.1951 0.0000 0.8262 [4 per cell]
O: 0.2134 0.0000 0.3659 [4 per cell]

The 8 most intense peaks (2θ from 10° to 80°), in order of rising 2θ:
- (2 0 1), 18.13°, intensity 100
- (3 1 -1), 35.84°, intensity 23
- (4 0 -3), 36.13°, intensity 12
- (5 1 0), 43.04°, intensity 59
- (2 0 -4), 44.02°, intensity 25
- (7 1 1), 56.50°, intensity 10
- (3 1 4), 62.98°, intensity 17
- (0 2 0), 63.54°, intensity 20